[1]
Diffraction record for Mg5Ni. The XRD peak list is theoretical, not measured: it uses the PBE geometry in OQMD and Cu Ka.

Atomic structure:
Lattice parameters (Å, degrees): 5.2696 5.2696 4.7907 90.00 90.00 120.00
Space group P-62m (No. 189)
Unique sites:
Mg 0.0000 0.3132 0.0000
Mg 0.3333 0.6667 0.5000
Ni 0.0000 0.0000 0.5000

Largest 8 diffraction maxima, low angle first, 2θ = 5–70°:
hkl 1 0 0, 19.5°, d 4.564, I 21.9
hkl 1 0 1, 27.0°, d 3.304, I 10.9
hkl 1 1 0, 34.0°, d 2.635, I 27.5
hkl 0 0 2, 37.5°, d 2.395, I 24.8
hkl 1 1 1, 39.0°, d 2.309, I 100.0
hkl 1 1 2, 51.6°, d 1.772, I 16.0
hkl 3 0 0, 60.9°, d 1.521, I 16.1
hkl 1 1 3, 68.7°, d 1.366, I 17.0


[2]
Diffraction record for Mg4Ni. The XRD peak list is theoretical, not measured: it uses the PBE geometry in OQMD and Cu Ka.

Atomic structure:
Lattice parameters (Å, degrees): 5.652 9.351 7.186 90.00 100.11 90.00
Space group P2_1/m (No. 11)
Unique sites:
Mg 0.049 0.250 0.488
Mg 0.142 0.016 0.196
Mg 0.229 0.250 0.922
Mg 0.258 0.750 0.920
Mg 0.321 0.518 0.638
Mg 0.400 0.750 0.341
Ni 0.405 0.250 0.297
Ni 0.500 0.000 0.000

Largest 8 diffraction maxima, low angle first, 2θ = 5–70°:
hkl 0 1 1, 15.7°, d 5.642, I 25.1
hkl 1 0 0, 15.9°, d 5.565, I 47.4
hkl 1 2 2, 37.7°, d 2.385, I 100.0
hkl 2 2 -1, 37.9°, d 2.376, I 99.4
hkl 0 4 0, 38.5°, d 2.338, I 51.2
hkl 1 0 -3, 38.8°, d 2.323, I 49.8
hkl 1 4 -3, 55.8°, d 1.648, I 28.6
hkl 3 4 1, 67.6°, d 1.386, I 17.7


What is the formula in the first record?
Mg5Ni